Structure and computed X-ray powder pattern of Ca2YCuO5 (the GGA-PBE geometry in the Materials Project; CuKα).

Atomic structure:
Cell: 8.9603 8.9603 8.9603 Å, 51.19 143.25 145.63°
Atoms (fractional coordinates):
Ca 0.0303 0.0964 0.1267
Ca 0.0303 0.4036 0.4340
Ca 0.9697 0.5964 0.5660
Ca 0.9697 0.9036 0.8733
Y 0.4245 0.7185 0.2060
Y 0.5124 0.2185 0.7940
Cu 0.5184 0.0184 0.5000
Cu 0.5184 0.5184 0.0000
O 0.0196 0.2814 0.7735
O 0.0196 0.7460 0.2382
O 0.1256 0.7991 0.8265
O 0.4743 0.1764 0.5537
O 0.4743 0.4206 0.7979
O 0.5078 0.2460 0.2265
O 0.5078 0.7814 0.7618
O 0.6227 0.6764 0.2021
O 0.6227 0.9206 0.4463
O 0.9727 0.2991 0.1735

Largest 10 diffraction maxima, sorted by position, 15 to 90 degrees two-theta:
2θ/deg  intensity
22.0  26
23.0  28
31.7  41
32.1  100
33.9  42
44.9  17
47.0  38
51.0  20
56.7  20
59.4  17

=====

Structure and computed X-ray powder pattern of Rb2CrCl4 (the GGA-PBE geometry in the Materials Project; CuKα).

Atomic structure:
Cell: 8.2592 8.2592 8.2592 Å, 144.64 144.64 50.87°
Atoms (fractional coordinates):
Rb 0.2318 0.2318 0.0000
Rb 0.7682 0.7682 0.0000
Cr 0.5000 0.5000 0.0000
Cl 0.1046 0.6046 0.5000
Cl 0.3954 0.8954 0.5000
Cl 0.6046 0.1046 0.5000
Cl 0.8954 0.3954 0.5000

Largest 10 diffraction maxima, sorted by position, 15 to 90 degrees two-theta:
2θ/deg  intensity
25.2  27
27.8  37
34.9  100
35.8  56
44.3  11
46.3  12
51.5  18
51.8  8
59.9  11
63.8  30